1.
Calculated powder X-ray diffraction pattern
Compound: Cs2NpGaCl6
Radiation: Cu Kα
Structure: a crystal structure in Alexandria, relaxed with PBE
Neutral-atom scattering factors, no anomalous dispersion.

Cell: 8.0016 8.0016 8.0016 Å, 120.00 120.00 90.00°
Element x y z (fractional)
Cs (0.0000, 0.5000, 0.5000)
Cs (0.5000, 0.0000, 0.5000)
Np (0.2520, 0.2520, 0.0000)
Ga (0.7517, 0.7517, 0.0000)
Cl (0.0115, 0.0115, 0.0000)
Cl (0.0123, 0.0123, 0.5191)
Cl (0.0123, 0.4933, 0.0000)
Cl (0.4924, 0.4924, 0.0000)
Cl (0.4933, 0.0123, 0.0000)
Cl (0.4933, 0.4933, 0.4809)

Most intense lines, 5° ≤ 2θ ≤ 70°, most intense first:
d = 4.001 Å, 22.2 deg, I = 100; d = 2.829 Å, 31.6 deg, I = 53; d = 2.310 Å, 39.0 deg, I = 48; d = 2.000 Å, 45.3 deg, I = 37; d = 1.512 Å, 61.3 deg, I = 27; d = 6.533 Å, 13.6 deg, I = 24; d = 1.789 Å, 51.0 deg, I = 23; d = 3.412 Å, 26.1 deg, I = 13



2.
Calculated powder X-ray diffraction pattern
Compound: Cs2PaGaCl6
Radiation: Cu Kα
Structure: a crystal structure in Alexandria, relaxed with PBE
Neutral-atom scattering factors, no anomalous dispersion.

Cell: 13.3457 13.3457 13.3457 Å, 36.45 36.45 36.45°
Element x y z (fractional)
Cs (0.1293, 0.1293, 0.1293)
Cs (0.2765, 0.2765, 0.2765)
Cs (0.7235, 0.7235, 0.7235)
Cs (0.8707, 0.8707, 0.8707)
Pa (0.0000, 0.0000, 0.0000)
Pa (0.5000, 0.5000, 0.5000)
Ga (0.4135, 0.4135, 0.4135)
Ga (0.5865, 0.5865, 0.5865)
Cl (0.1265, 0.6323, 0.6323)
Cl (0.1924, 0.1924, 0.7437)
Cl (0.1924, 0.7437, 0.1924)
Cl (0.2563, 0.8076, 0.8076)
Cl (0.3677, 0.3677, 0.8735)
Cl (0.3677, 0.8735, 0.3677)
Cl (0.6323, 0.1265, 0.6323)
Cl (0.6323, 0.6323, 0.1265)
Cl (0.7437, 0.1924, 0.1924)
Cl (0.8076, 0.2563, 0.8076)
Cl (0.8076, 0.8076, 0.2563)
Cl (0.8735, 0.3677, 0.3677)

Most intense lines, 5° ≤ 2θ ≤ 70°, most intense first:
d = 4.173 Å, 21.3 deg, I = 100; d = 2.992 Å, 29.9 deg, I = 43; d = 2.087 Å, 43.4 deg, I = 38; d = 3.921 Å, 22.7 deg, I = 38; d = 6.741 Å, 13.1 deg, I = 36; d = 5.715 Å, 15.5 deg, I = 30; d = 2.858 Å, 31.3 deg, I = 28; d = 2.358 Å, 38.2 deg, I = 25